# 1
The following is a calculated powder XRD pattern of La2Sm4Dy. It was derived from a DFT-relaxed cell (PBE, Alexandria), using Cu Kα (λ = 1.5418 Å).
Lines closer than 0.1° are merged.

Largest 10 diffraction maxima, in order of rising 2θ, 10° ≤ 2θ ≤ 80°:
- 29.4°, I 40
- 30.5°, I 53
- 30.6°, I 100
- 31.8°, I 46
- 32.3°, I 44
- 40.7°, I 16
- 45.0°, I 13
- 50.8°, I 14
- 56.6°, I 11
- 60.4°, I 15

a = 7.194 Å, b = 8.793 Å, c = 8.989 Å
α = 61.28°, β = 89.87°, γ = 78.09°
Sites, in units of the cell vectors:
La (0.000, 0.000, 0.000)
La (0.034, 0.871, 0.447)
La (0.221, 0.138, 0.586)
La (0.857, 0.563, 0.310)
Sm (0.146, 0.423, 0.725)
Sm (0.329, 0.685, 0.866)
Sm (0.363, 0.564, 0.313)
Sm (0.499, 0.000, 0.997)
Sm (0.534, 0.867, 0.446)
Sm (0.675, 0.282, 0.151)
Sm (0.714, 0.140, 0.582)
Sm (0.826, 0.689, 0.861)
Dy (0.181, 0.285, 0.149)
Dy (0.642, 0.420, 0.727)

=====

# 2
The following is a calculated powder XRD pattern of PaGa6. It was derived from a DFT-relaxed cell (PBE, Alexandria), using Cu Kα (λ = 1.5418 Å).
Lines closer than 0.1° are merged.

Largest 10 diffraction maxima, in order of rising 2θ, 10° ≤ 2θ ≤ 80°:
- 13.3°, I 19
- 19.4°, I 36
- 30.7°, I 41
- 33.3°, I 19
- 38.8°, I 100
- 39.3°, I 54
- 56.8°, I 18
- 57.9°, I 14
- 70.0°, I 13
- 71.0°, I 33

a = 4.583 Å, b = 4.583 Å, c = 6.640 Å
α = 90.00°, β = 90.00°, γ = 90.00°
Sites, in units of the cell vectors:
Pa (0.000, 0.000, 0.000)
Ga (0.000, 0.000, 0.500)
Ga (0.000, 0.500, 0.289)
Ga (0.000, 0.500, 0.711)
Ga (0.500, 0.000, 0.289)
Ga (0.500, 0.000, 0.711)
Ga (0.500, 0.500, 0.000)

=====

# 3
The following is a calculated powder XRD pattern of La2Tb4Sm2Tm. It was derived from a DFT-relaxed cell (PBE, Alexandria), using Cu Kα (λ = 1.5418 Å).
Lines closer than 0.1° are merged.

Largest 10 diffraction maxima, in order of rising 2θ, 10° ≤ 2θ ≤ 80°:
- 28.5°, I 37
- 29.1°, I 17
- 30.8°, I 51
- 31.5°, I 100
- 33.2°, I 91
- 50.2°, I 26
- 54.1°, I 21
- 57.3°, I 20
- 59.9°, I 15
- 60.0°, I 30

a = 9.614 Å, b = 9.614 Å, c = 9.671 Å
α = 115.15°, β = 115.15°, γ = 21.85°
Sites, in units of the cell vectors:
La (0.164, 0.164, 0.000)
La (0.836, 0.836, 0.000)
Tb (0.020, 0.020, 0.333)
Tb (0.315, 0.315, 0.663)
Tb (0.685, 0.685, 0.337)
Tb (0.980, 0.980, 0.667)
Sm (0.353, 0.353, 0.337)
Sm (0.647, 0.647, 0.663)
Tm (0.500, 0.500, 0.000)

=====

# 4
The following is a calculated powder XRD pattern of DyAgSn. It was derived from a DFT-relaxed cell (PBE, Alexandria), using Cu Kα (λ = 1.5418 Å).
Lines closer than 0.1° are merged.

Largest 10 diffraction maxima, in order of rising 2θ, 10° ≤ 2θ ≤ 80°:
- 24.8°, I 10
- 32.6°, I 100
- 38.0°, I 78
- 42.8°, I 17
- 50.9°, I 29
- 63.8°, I 14
- 65.2°, I 27
- 67.3°, I 7
- 68.6°, I 14
- 71.9°, I 7

a = 4.737 Å, b = 4.737 Å, c = 7.399 Å
α = 90.00°, β = 90.00°, γ = 120.00°
Sites, in units of the cell vectors:
Dy (0.000, 0.000, 0.000)
Dy (0.000, 0.000, 0.500)
Ag (0.333, 0.667, 0.312)
Ag (0.667, 0.333, 0.812)
Sn (0.333, 0.667, 0.720)
Sn (0.667, 0.333, 0.220)

=====

# 5
The following is a calculated powder XRD pattern of VNiRh6. It was derived from a DFT-relaxed cell (PBE, Alexandria), using Cu Kα (λ = 1.5418 Å).
Lines closer than 0.1° are merged.

Largest 10 diffraction maxima, in order of rising 2θ, 10° ≤ 2θ ≤ 80°:
- 11.8°, I 3
- 35.3°, I 5
- 36.0°, I 3
- 41.2°, I 100
- 47.6°, I 33
- 48.6°, I 14
- 61.1°, I 2
- 69.6°, I 10
- 70.4°, I 18
- 72.1°, I 2

a = 7.963 Å, b = 7.963 Å, c = 7.963 Å
α = 152.23°, β = 152.23°, γ = 39.68°
Sites, in units of the cell vectors:
V (0.000, 0.000, 0.000)
Ni (0.500, 0.500, 0.000)
Rh (0.119, 0.619, 0.500)
Rh (0.255, 0.255, 0.000)
Rh (0.381, 0.881, 0.500)
Rh (0.619, 0.119, 0.500)
Rh (0.745, 0.745, 0.000)
Rh (0.881, 0.381, 0.500)

=====

# 6
The following is a calculated powder XRD pattern of RePd. It was derived from a DFT-relaxed cell (PBE, Alexandria), using Cu Kα (λ = 1.5418 Å).
Lines closer than 0.1° are merged.

Largest 10 diffraction maxima, in order of rising 2θ, 10° ≤ 2θ ≤ 80°:
- 37.7°, I 20
- 38.1°, I 28
- 39.5°, I 44
- 39.9°, I 79
- 40.4°, I 79
- 42.4°, I 37
- 42.8°, I 100
- 46.2°, I 29
- 46.6°, I 52
- 67.1°, I 35

a = 2.763 Å, b = 13.382 Å, c = 4.851 Å
α = 90.00°, β = 90.00°, γ = 90.00°
Sites, in units of the cell vectors:
Re (0.250, 0.085, 0.079)
Re (0.250, 0.415, 0.079)
Re (0.250, 0.750, 0.763)
Re (0.750, 0.250, 0.237)
Re (0.750, 0.585, 0.921)
Re (0.750, 0.915, 0.921)
Pd (0.250, 0.250, 0.744)
Pd (0.250, 0.583, 0.420)
Pd (0.250, 0.917, 0.420)
Pd (0.750, 0.083, 0.580)
Pd (0.750, 0.417, 0.580)
Pd (0.750, 0.750, 0.256)

=====

# 7
The following is a calculated powder XRD pattern of CaSiGe. It was derived from a DFT-relaxed cell (PBE, Alexandria), using Cu Kα (λ = 1.5418 Å).
Lines closer than 0.1° are merged.

Largest 10 diffraction maxima, in order of rising 2θ, 10° ≤ 2θ ≤ 80°:
- 16.8°, I 23
- 17.2°, I 14
- 26.8°, I 73
- 28.6°, I 19
- 34.8°, I 36
- 38.9°, I 100
- 46.2°, I 20
- 46.3°, I 39
- 62.0°, I 16
- 65.0°, I 21

a = 5.739 Å, b = 3.928 Å, c = 6.784 Å
α = 90.00°, β = 113.19°, γ = 90.00°
Sites, in units of the cell vectors:
Ca (0.000, 0.000, 0.000)
Ca (0.000, 0.500, 0.500)
Si (0.403, 0.000, 0.806)
Si (0.597, 0.000, 0.194)
Ge (0.399, 0.500, 0.294)
Ge (0.601, 0.500, 0.706)

=====

# 8
The following is a calculated powder XRD pattern of CaAsIrO5. It was derived from a DFT-relaxed cell (PBE, Alexandria), using Cu Kα (λ = 1.5418 Å).
Lines closer than 0.1° are merged.

Largest 10 diffraction maxima, in order of rising 2θ, 10° ≤ 2θ ≤ 80°:
- 17.3°, I 93
- 26.6°, I 100
- 28.9°, I 64
- 32.6°, I 76
- 33.2°, I 66
- 36.4°, I 30
- 36.8°, I 26
- 42.5°, I 28
- 51.8°, I 33
- 53.6°, I 25

a = 5.705 Å, b = 5.705 Å, c = 7.271 Å
α = 103.75°, β = 103.75°, γ = 107.54°
Sites, in units of the cell vectors:
Ca (0.168, 0.832, 0.750)
Ca (0.832, 0.168, 0.250)
As (0.184, 0.816, 0.250)
As (0.816, 0.184, 0.750)
Ir (0.500, 0.500, 0.000)
Ir (0.500, 0.500, 0.500)
O (0.119, 0.244, 0.931)
O (0.179, 0.595, 0.385)
O (0.244, 0.119, 0.431)
O (0.405, 0.821, 0.115)
O (0.409, 0.591, 0.750)
O (0.591, 0.409, 0.250)
O (0.595, 0.179, 0.885)
O (0.756, 0.881, 0.569)
O (0.821, 0.405, 0.615)
O (0.881, 0.756, 0.069)

=====

# 9
The following is a calculated powder XRD pattern of NaNdHfNbO6. It was derived from a DFT-relaxed cell (PBE, Alexandria), using Cu Kα (λ = 1.5418 Å).
Lines closer than 0.1° are merged.

Largest 10 diffraction maxima, in order of rising 2θ, 10° ≤ 2θ ≤ 80°:
- 18.9°, I 28
- 21.8°, I 14
- 31.1°, I 100
- 36.6°, I 16
- 44.5°, I 32
- 48.7°, I 7
- 55.3°, I 40
- 58.9°, I 6
- 64.8°, I 19
- 73.6°, I 17

a = 5.758 Å, b = 5.758 Å, c = 5.758 Å
α = 60.00°, β = 60.00°, γ = 60.00°
Sites, in units of the cell vectors:
Na (0.000, 0.000, 0.000)
Nd (0.500, 0.500, 0.500)
Hf (0.750, 0.750, 0.750)
Nb (0.250, 0.250, 0.250)
O (0.002, 0.002, 0.498)
O (0.002, 0.498, 0.002)
O (0.002, 0.498, 0.498)
O (0.498, 0.002, 0.002)
O (0.498, 0.002, 0.498)
O (0.498, 0.498, 0.002)

=====

# 10
The following is a calculated powder XRD pattern of Cd2GaAu5. It was derived from a DFT-relaxed cell (PBE, Alexandria), using Cu Kα (λ = 1.5418 Å).
Lines closer than 0.1° are merged.

Largest 10 diffraction maxima, in order of rising 2θ, 10° ≤ 2θ ≤ 80°:
- 32.3°, I 16
- 36.9°, I 59
- 38.7°, I 100
- 41.9°, I 17
- 53.2°, I 17
- 66.0°, I 12
- 67.7°, I 27
- 69.9°, I 9
- 71.1°, I 11
- 76.0°, I 10

a = 5.805 Å, b = 5.805 Å, c = 5.805 Å
α = 107.29°, β = 107.29°, γ = 113.94°
Sites, in units of the cell vectors:
Cd (0.000, 0.500, 0.500)
Cd (0.500, 0.000, 0.500)
Ga (0.023, 0.023, 0.000)
Au (0.428, 0.428, 0.000)
Au (0.534, 0.534, 0.560)
Au (0.534, 0.974, 0.000)
Au (0.974, 0.534, 0.000)
Au (0.974, 0.974, 0.440)

=====

# 11
The following is a calculated powder XRD pattern of Nd7Ho6Tm16. It was derived from a DFT-relaxed cell (PBE, Alexandria), using Cu Kα (λ = 1.5418 Å).
Lines closer than 0.1° are merged.

Largest 10 diffraction maxima, in order of rising 2θ, 10° ≤ 2θ ≤ 80°:
- 28.2°, I 7
- 29.9°, I 29
- 32.6°, I 100
- 44.8°, I 13
- 46.8°, I 13
- 50.9°, I 5
- 56.5°, I 9
- 58.2°, I 21
- 61.8°, I 17
- 68.3°, I 5

a = 10.981 Å, b = 10.981 Å, c = 10.981 Å
α = 60.00°, β = 60.00°, γ = 60.00°
Sites, in units of the cell vectors:
Nd (0.000, 0.000, 0.000)
Nd (0.000, 0.000, 0.500)
Nd (0.000, 0.500, 0.000)
Nd (0.000, 0.500, 0.500)
Nd (0.500, 0.000, 0.000)
Nd (0.500, 0.000, 0.500)
Nd (0.500, 0.500, 0.000)
Ho (0.225, 0.225, 0.775)
Ho (0.225, 0.775, 0.225)
Ho (0.225, 0.775, 0.775)
Ho (0.775, 0.225, 0.225)
Ho (0.775, 0.225, 0.775)
Ho (0.775, 0.775, 0.225)
Tm (0.149, 0.149, 0.149)
Tm (0.149, 0.149, 0.552)
Tm (0.149, 0.552, 0.149)
Tm (0.160, 0.613, 0.613)
Tm (0.387, 0.387, 0.387)
Tm (0.387, 0.387, 0.840)
Tm (0.387, 0.840, 0.387)
Tm (0.448, 0.851, 0.851)
Tm (0.552, 0.149, 0.149)
Tm (0.613, 0.160, 0.613)
Tm (0.613, 0.613, 0.160)
Tm (0.613, 0.613, 0.613)
Tm (0.840, 0.387, 0.387)
Tm (0.851, 0.448, 0.851)
Tm (0.851, 0.851, 0.448)
Tm (0.851, 0.851, 0.851)

=====

# 12
The following is a calculated powder XRD pattern of UAl2H8. It was derived from a DFT-relaxed cell (PBE, Alexandria), using Cu Kα (λ = 1.5418 Å).
Lines closer than 0.1° are merged.

Largest 10 diffraction maxima, in order of rising 2θ, 10° ≤ 2θ ≤ 80°:
- 18.4°, I 33
- 20.1°, I 100
- 27.4°, I 97
- 28.6°, I 25
- 34.2°, I 85
- 40.9°, I 24
- 42.7°, I 30
- 46.0°, I 25
- 49.9°, I 39
- 60.6°, I 22

a = 4.413 Å, b = 4.413 Å, c = 4.830 Å
α = 90.00°, β = 90.00°, γ = 90.00°
Sites, in units of the cell vectors:
U (0.000, 0.000, 0.000)
Al (0.000, 0.500, 0.500)
Al (0.500, 0.000, 0.500)
H (0.258, 0.258, 0.283)
H (0.258, 0.258, 0.717)
H (0.258, 0.742, 0.283)
H (0.258, 0.742, 0.717)
H (0.742, 0.258, 0.283)
H (0.742, 0.258, 0.717)
H (0.742, 0.742, 0.283)
H (0.742, 0.742, 0.717)